Structure and calculated X-ray diffraction stick pattern of AsSeO4 (a cell relaxed with GGA-PBE; Cu Kα, 1.54184 Å).
Intensities are scaled so that the largest is 100.

Cell and atoms:
```
AsSeO4
1.0
4.826 0.000 0.000
0.000 4.608 0.000
0.000 0.000 7.409
As Se O
2 2 8
direct
0.000 0.000 0.000
0.000 0.500 0.500
0.500 0.000 0.398
0.500 0.500 0.898
0.179 0.229 0.853
0.179 0.271 0.353
0.322 0.717 0.055
0.322 0.783 0.555
0.678 0.217 0.555
0.678 0.283 0.055
0.821 0.729 0.353
0.821 0.771 0.853
```

Top 6 peaks for 2θ = 10–90°, low angle first:
24.02°, intensity 39
29.39°, intensity 100
41.48°, intensity 12
50.33°, intensity 13
55.12°, intensity 13
56.98°, intensity 12

***

Structure and calculated X-ray diffraction stick pattern of Sm2As4O9 (a cell relaxed with GGA-PBE; Cu Kα, 1.54184 Å).
Intensities are scaled so that the largest is 100.

Cell and atoms:
```
Sm2As4O9
1.0
6.895 0.000 0.000
-1.947 7.445 0.000
-2.432 -1.570 9.465
Sm As O
4 8 18
direct
0.220 0.032 0.407
0.252 0.560 0.383
0.748 0.440 0.617
0.780 0.968 0.593
0.179 0.278 0.074
0.248 0.417 0.709
0.309 0.849 0.701
0.324 0.745 0.086
0.676 0.255 0.914
0.691 0.151 0.299
0.752 0.583 0.291
0.821 0.722 0.926
0.007 0.728 0.332
0.105 0.818 0.986
0.128 0.961 0.623
0.132 0.601 0.640
0.183 0.521 0.125
0.221 0.252 0.253
0.345 0.371 0.560
0.364 0.848 0.261
0.410 0.832 0.549
0.590 0.168 0.451
0.636 0.152 0.739
0.655 0.629 0.440
0.779 0.748 0.747
0.817 0.479 0.875
0.868 0.399 0.360
0.872 0.039 0.377
0.895 0.182 0.014
0.993 0.272 0.668
```

Top 6 peaks for 2θ = 10–90°, low angle first:
27.45°, intensity 59
27.84°, intensity 100
28.25°, intensity 27
30.77°, intensity 33
31.67°, intensity 21
32.30°, intensity 22

***

Structure and calculated X-ray diffraction stick pattern of SmAsO4 (a cell relaxed with GGA-PBE; Cu Kα, 1.54184 Å).
Intensities are scaled so that the largest is 100.

Cell and atoms:
```
SmAsO4
1.0
-2.563 2.563 5.795
2.563 -2.563 5.795
2.563 2.563 -5.795
Sm As O
2 2 8
direct
0.375 0.125 0.250
0.625 0.875 0.750
0.125 0.375 0.750
0.875 0.625 0.250
0.061 0.204 0.358
0.203 0.561 0.357
0.296 0.155 0.857
0.345 0.703 0.142
0.655 0.297 0.858
0.704 0.845 0.143
0.797 0.439 0.643
0.939 0.796 0.642
```

Top 6 peaks for 2θ = 10–90°, low angle first:
29.05°, intensity 100
30.86°, intensity 17
35.01°, intensity 21
47.35°, intensity 29
53.77°, intensity 18
59.18°, intensity 28

***

Structure and calculated X-ray diffraction stick pattern of SmYAsO2 (a cell relaxed with GGA-PBE; Cu Kα, 1.54184 Å).
Intensities are scaled so that the largest is 100.

Cell and atoms:
```
SmYAsO2
1.0
-1.923 1.923 6.510
1.923 -1.923 6.510
1.923 1.923 -6.510
Sm Y As O
1 1 1 2
direct
0.000 0.000 0.000
0.319 0.319 0.000
0.660 0.660 0.000
0.406 0.906 0.500
0.906 0.406 0.500
```

Top 6 peaks for 2θ = 10–90°, low angle first:
13.60°, intensity 11
31.07°, intensity 100
32.94°, intensity 35
47.27°, intensity 19
54.07°, intensity 24
57.66°, intensity 34

***

Structure and calculated X-ray diffraction stick pattern of SnAs2O7 (a cell relaxed with GGA-PBE; Cu Kα, 1.54184 Å).
Intensities are scaled so that the largest is 100.

Cell and atoms:
```
SnAs2O7
1.0
6.572 0.000 0.000
0.000 9.927 0.000
-1.320 0.000 9.195
Sn As O
4 8 28
direct
0.168 0.080 0.265
0.168 0.420 0.765
0.832 0.580 0.235
0.832 0.920 0.735
0.058 0.687 0.955
0.058 0.813 0.455
0.385 0.709 0.740
0.385 0.791 0.240
0.615 0.209 0.760
0.615 0.291 0.260
0.942 0.187 0.545
0.942 0.313 0.045
0.010 0.598 0.790
0.010 0.902 0.290
0.016 0.145 0.077
0.016 0.355 0.577
0.158 0.114 0.478
0.158 0.386 0.978
0.187 0.686 0.148
0.187 0.814 0.648
0.338 0.719 0.920
0.338 0.781 0.420
0.378 0.236 0.277
0.378 0.264 0.777
0.380 0.543 0.687
0.380 0.957 0.187
0.620 0.043 0.813
0.620 0.457 0.313
0.622 0.736 0.223
0.622 0.764 0.723
0.662 0.219 0.580
0.662 0.281 0.080
0.813 0.186 0.352
0.813 0.314 0.852
0.842 0.614 0.022
0.842 0.886 0.522
0.984 0.645 0.423
0.984 0.855 0.923
0.990 0.098 0.710
0.990 0.402 0.210
```

Top 6 peaks for 2θ = 10–90°, low angle first:
13.61°, intensity 40
17.91°, intensity 53
19.31°, intensity 44
19.92°, intensity 100
30.30°, intensity 37
32.66°, intensity 38

***

Structure and calculated X-ray diffraction stick pattern of SnAs2O9 (a cell relaxed with GGA-PBE; Cu Kα, 1.54184 Å).
Intensities are scaled so that the largest is 100.

Cell and atoms:
```
SnAs2O9
1.0
8.433 0.000 0.000
0.000 5.696 0.000
-6.484 0.000 18.414
Sn As O
4 8 36
direct
0.245 0.242 0.471
0.245 0.258 0.971
0.755 0.742 0.029
0.755 0.758 0.529
0.078 0.736 0.945
0.078 0.764 0.445
0.428 0.683 0.592
0.428 0.817 0.092
0.572 0.183 0.908
0.572 0.317 0.408
0.922 0.236 0.555
0.922 0.264 0.055
0.061 0.028 0.401
0.061 0.472 0.901
0.100 0.189 0.038
0.100 0.311 0.538
0.145 0.531 0.407
0.145 0.969 0.907
0.165 0.536 0.753
0.165 0.964 0.253
0.168 0.168 0.232
0.168 0.332 0.732
0.255 0.639 0.022
0.255 0.861 0.522
0.397 0.705 0.670
0.397 0.795 0.170
0.406 0.157 0.418
0.406 0.343 0.918
0.427 0.091 0.052
0.427 0.409 0.552
0.573 0.591 0.448
0.573 0.909 0.948
0.594 0.657 0.082
0.594 0.843 0.582
0.603 0.205 0.830
0.603 0.295 0.330
0.745 0.139 0.478
0.745 0.361 0.978
0.832 0.668 0.268
0.832 0.832 0.768
0.835 0.036 0.747
0.835 0.464 0.247
0.855 0.031 0.093
0.855 0.469 0.593
0.900 0.689 0.462
0.900 0.811 0.962
0.939 0.528 0.099
0.939 0.972 0.599
```

Top 6 peaks for 2θ = 10–90°, low angle first:
21.19°, intensity 48
23.11°, intensity 100
24.23°, intensity 81
29.90°, intensity 66
32.92°, intensity 39
37.41°, intensity 40

***

Structure and calculated X-ray diffraction stick pattern of SnAs2O9 (a cell relaxed with GGA-PBE; Cu Kα, 1.54184 Å).
Intensities are scaled so that the largest is 100.

Cell and atoms:
```
SnAs2O9
1.0
8.589 0.000 0.000
0.000 5.460 0.000
-4.437 0.000 15.833
Sn As O
4 8 36
direct
0.219 0.212 0.453
0.219 0.288 0.953
0.781 0.712 0.047
0.781 0.788 0.547
0.008 0.227 0.111
0.008 0.273 0.611
0.416 0.690 0.582
0.416 0.810 0.082
0.584 0.190 0.918
0.584 0.310 0.418
0.992 0.727 0.389
0.992 0.773 0.889
0.048 0.233 0.016
0.048 0.267 0.516
0.054 0.006 0.362
0.054 0.494 0.862
0.131 0.513 0.380
0.131 0.987 0.880
0.194 0.161 0.192
0.194 0.339 0.692
0.214 0.618 0.684
0.214 0.882 0.184
0.281 0.621 0.017
0.281 0.879 0.517
0.374 0.669 0.688
0.374 0.831 0.188
0.393 0.192 0.386
0.393 0.308 0.886
0.397 0.108 0.047
0.397 0.392 0.547
0.603 0.608 0.453
0.603 0.892 0.953
0.607 0.692 0.114
0.607 0.808 0.614
0.626 0.169 0.812
0.626 0.331 0.312
0.719 0.121 0.483
0.719 0.379 0.983
0.786 0.118 0.816
0.786 0.382 0.316
0.806 0.661 0.308
0.806 0.839 0.808
0.869 0.013 0.120
0.869 0.487 0.620
0.946 0.506 0.138
0.946 0.994 0.638
0.952 0.733 0.484
0.952 0.767 0.984
```

Top 6 peaks for 2θ = 10–90°, low angle first:
11.18°, intensity 100
22.13°, intensity 16
23.94°, intensity 62
26.64°, intensity 32
31.56°, intensity 18
32.80°, intensity 17

***

Structure and calculated X-ray diffraction stick pattern of SrSnAsO (a cell relaxed with GGA-PBE; Cu Kα, 1.54184 Å).
Intensities are scaled so that the largest is 100.

Cell and atoms:
```
SrSnAsO
1.0
4.512 0.000 0.000
-2.256 3.908 0.000
0.000 0.000 11.482
Sr Sn As O
2 2 2 2
direct
0.333 0.667 0.000
0.667 0.333 0.500
0.000 0.000 0.229
0.000 0.000 0.729
0.333 0.667 0.292
0.667 0.333 0.792
0.000 0.000 0.049
0.000 0.000 0.549
```

Top 6 peaks for 2θ = 10–90°, low angle first:
24.06°, intensity 64
27.61°, intensity 96
31.16°, intensity 40
32.75°, intensity 66
39.96°, intensity 100
51.52°, intensity 58